(1)
Theoretical powder diffraction line list
Compound: Ac3ThO7
Radiation: Cu Kα (λ = 1.5418 Å)
Structure: a crystal structure in Alexandria, relaxed with PBE
Intensities are scaled so that the largest is 100.

Crystal structure
```
data_Ac3ThO7
_cell_length_a 8.2291
_cell_length_b 11.7442
_cell_length_c 8.3914
_cell_angle_alpha 90.00
_cell_angle_beta 90.00
_cell_angle_gamma 90.00
_space_group_name_H-M_alt 'C m c m'
_space_group_IT_number 63
_space_group_name_Hall '-C 2c 2'
loop_
_atom_site_label
_atom_site_fract_x
_atom_site_fract_y
_atom_site_fract_z
Ac1 0.0000 0.0000 0.0000
Ac2 0.2351 0.2651 0.2500
Th1 0.0000 0.5000 0.0000
O1 0.0000 0.1303 0.7500
O2 0.0000 0.1343 0.2500
O3 0.0000 0.4129 0.2500
O4 0.2141 0.3769 0.5276
```

Peak list (10 most intense, 10 to 80 degrees two-theta, low angle first)
hkl, 2θ (°), I/Imax
0 2 2, 26.1, 100
2 2 0, 26.5, 97
2 0 2, 30.4, 77
0 0 4, 43.1, 17
2 4 2, 43.6, 60
4 0 0, 44.0, 15
2 2 4, 51.3, 33
0 6 2, 51.5, 14
4 2 2, 51.9, 30
4 4 4, 71.9, 18



(2)
Theoretical powder diffraction line list
Compound: Ac2Ti3O9
Radiation: Cu Kα (λ = 1.5418 Å)
Structure: a crystal structure in Alexandria, relaxed with PBE
Intensities are scaled so that the largest is 100.

Crystal structure
```
data_Ac2Ti3O9
_cell_length_a 7.1403
_cell_length_b 7.1403
_cell_length_c 10.8740
_cell_angle_alpha 90.00
_cell_angle_beta 90.00
_cell_angle_gamma 120.00
_space_group_name_H-M_alt 'P 63/m'
_space_group_IT_number 176
_space_group_name_Hall '-P 6c'
loop_
_atom_site_label
_atom_site_fract_x
_atom_site_fract_y
_atom_site_fract_z
Ac1 0.3333 0.6667 0.0426
Ti1 0.0698 0.7697 0.7500
O1 0.0605 0.6257 0.6118
O2 0.0675 0.7930 0.2500
```

Peak list (10 most intense, 10 to 80 degrees two-theta, low angle first)
hkl, 2θ (°), I/Imax
1 0 0, 14.3, 51
1 0 2, 21.8, 69
1 1 0, 24.9, 44
1 0 3, 28.5, 42
1 1 2, 29.9, 100
3 0 0, 43.9, 23
1 0 5, 44.1, 24
1 2 3, 46.2, 33
2 0 5, 51.4, 20
2 1 5, 57.9, 20



Please write out number 2 again, unchanged.
Theoretical powder diffraction line list
Compound: Ac2Ti3O9
Radiation: Cu Kα (λ = 1.5418 Å)
Structure: a crystal structure in Alexandria, relaxed with PBE
Intensities are scaled so that the largest is 100.

Crystal structure
```
data_Ac2Ti3O9
_cell_length_a 7.1403
_cell_length_b 7.1403
_cell_length_c 10.8740
_cell_angle_alpha 90.00
_cell_angle_beta 90.00
_cell_angle_gamma 120.00
_space_group_name_H-M_alt 'P 63/m'
_space_group_IT_number 176
_space_group_name_Hall '-P 6c'
loop_
_atom_site_label
_atom_site_fract_x
_atom_site_fract_y
_atom_site_fract_z
Ac1 0.3333 0.6667 0.0426
Ti1 0.0698 0.7697 0.7500
O1 0.0605 0.6257 0.6118
O2 0.0675 0.7930 0.2500
```

Peak list (10 most intense, 10 to 80 degrees two-theta, low angle first)
hkl, 2θ (°), I/Imax
1 0 0, 14.3, 51
1 0 2, 21.8, 69
1 1 0, 24.9, 44
1 0 3, 28.5, 42
1 1 2, 29.9, 100
3 0 0, 43.9, 23
1 0 5, 44.1, 24
1 2 3, 46.2, 33
2 0 5, 51.4, 20
2 1 5, 57.9, 20